The following is a computed powder diffraction line list of KTbMo2O8. It was derived from a cell relaxed with GGA+U, using Cu Kα (weighted mean of Kα1 and Kα2).
Peak positions follow from Bragg's law for the DFT cell and can differ from measured ones.

Top 12 peaks for 2θ = 15–90°, most intense first:
28.43°, 3.139 Å, I = 100; 29.31°, 3.047 Å, I = 56; 22.29°, 3.988 Å, I = 44; 29.05°, 3.074 Å, I = 39; 45.96°, 1.975 Å, I = 36; 52.19°, 1.753 Å, I = 19; 51.06°, 1.789 Å, I = 19; 54.41°, 1.686 Å, I = 18; 36.14°, 2.486 Å, I = 15; 44.77°, 2.024 Å, I = 12; 34.82°, 2.576 Å, I = 12; 58.58°, 1.576 Å, I = 12

Crystal structure
```
data_KTbMo2O8
_symmetry_space_group_name_H-M 'P b c n'
_symmetry_Int_Tables_number 60
_symmetry_space_group_name_Hall '-P 2n 2ab'
_cell_length_a 5.1524
_cell_length_b 18.8928
_cell_length_c 8.0978
_cell_angle_alpha 90.00
_cell_angle_beta 90.00
_cell_angle_gamma 90.00
loop_
_atom_site_label
_atom_site_type_symbol
_atom_site_fract_x
_atom_site_fract_y
_atom_site_fract_z
K1 K 0.0000 0.2251 0.2500
Tb1 Tb 0.0000 0.0039 0.7500
Mo1 Mo 0.0213 0.3997 0.5100
O1 O 0.1012 0.3130 0.9852
O2 O 0.2322 0.4040 0.3337
O3 O 0.2412 0.4077 0.6847
O4 O 0.2478 0.0355 0.5030
```